Calculated powder XRD pattern
Compound: K4Bi2O5
Radiation: copper Kα
Structure: a GGA-PBE-relaxed structure
Lines closer than 0.1° are merged.

Structural model:
abc: 5.815 9.732 9.979
angles: 106.73 105.20 106.54
Fractional positions:
K 0.097 0.009 0.184
K 0.114 0.702 0.543
K 0.129 0.378 0.867
K 0.375 0.785 0.951
K 0.625 0.215 0.049
K 0.871 0.622 0.133
K 0.886 0.298 0.457
K 0.903 0.991 0.816
Bi 0.365 0.458 0.270
Bi 0.403 0.116 0.628
Bi 0.597 0.884 0.372
Bi 0.635 0.542 0.730
O 0.152 0.249 0.080
O 0.242 0.886 0.391
O 0.266 0.540 0.699
O 0.374 0.993 0.766
O 0.382 0.628 0.170
O 0.618 0.372 0.830
O 0.626 0.007 0.234
O 0.734 0.460 0.301
O 0.758 0.114 0.609
O 0.848 0.751 0.920

The 10 most intense peaks (10° ≤ 2θ ≤ 90°), in order of rising 2θ:
17.16°, intensity 43; 18.60°, intensity 42; 19.12°, intensity 36; 20.30°, intensity 30; 27.72°, intensity 51; 28.62°, intensity 100; 29.20°, intensity 45; 30.78°, intensity 62; 34.03°, intensity 49; 34.32°, intensity 49

=====

Calculated powder XRD pattern
Compound: TaCrRu
Radiation: copper Kα
Structure: a GGA-PBE-relaxed structure
Lines closer than 0.1° are merged.

Structural model:
abc: 5.055 5.055 6.241
angles: 107.24 107.24 35.63
Fractional positions:
Ta 0.000 0.000 0.000
Ta 0.686 0.686 0.347
Cr 0.017 0.017 0.494
Cr 0.350 0.350 0.184
Ru 0.356 0.356 0.657
Ru 0.675 0.675 0.848

The 10 most intense peaks (10° ≤ 2θ ≤ 90°), in order of rising 2θ:
20.50°, intensity 26; 35.50°, intensity 14; 41.10°, intensity 100; 41.59°, intensity 64; 41.70°, intensity 31; 59.23°, intensity 11; 59.80°, intensity 11; 74.56°, intensity 11; 75.14°, intensity 11; 75.56°, intensity 20